[1]
The following is a calculated powder XRD pattern of MnOF. It was derived from a structure optimized by DFT (PBE+U), using Cu Kα.
Neutral-atom scattering factors, no anomalous dispersion.

Top 6 peaks for 2θ = 10–90°, low angle first:
24.2°, I = 100
28.7°, I = 71
35.0°, I = 77
49.9°, I = 65
55.0°, I = 39
66.5°, I = 47

Atomic structure:
a b c (Å): 4.825 4.825 3.040
angles (deg): 90.00 90.00 99.58
Element x y z (fractional)
Mn 0.000 0.000 0.000
Mn 0.500 0.500 0.500
O 0.197 0.197 0.500
O 0.803 0.803 0.500
F 0.314 0.686 0.000
F 0.686 0.314 0.000



[2]
The following is a calculated powder XRD pattern of Li9Mn2Co5O16. It was derived from a structure optimized by DFT (PBE+U), using Cu Kα.
Neutral-atom scattering factors, no anomalous dispersion.

Top 6 peaks for 2θ = 10–90°, low angle first:
18.4°, I = 100
35.8°, I = 14
43.2°, I = 28
43.9°, I = 27
44.4°, I = 26
63.3°, I = 15

Atomic structure:
a b c (Å): 4.979 6.545 8.892
angles (deg): 98.03 96.22 97.31
Element x y z (fractional)
Li 0.000 0.000 0.000
Li 0.001 0.745 0.238
Li 0.503 0.623 0.371
Li 0.517 0.385 0.639
Li 0.520 0.877 0.116
Li 0.524 0.141 0.885
Li 0.761 0.568 0.937
Li 0.996 0.500 0.504
Li 0.998 0.264 0.761
Mn 0.249 0.941 0.570
Mn 0.257 0.690 0.818
Co 0.255 0.195 0.310
Co 0.255 0.444 0.057
Co 0.747 0.069 0.442
Co 0.752 0.817 0.692
Co 0.762 0.320 0.186
O 0.119 0.464 0.276
O 0.120 0.954 0.770
O 0.122 0.199 0.534
O 0.154 0.726 0.017
O 0.370 0.431 0.843
O 0.372 0.916 0.368
O 0.383 0.683 0.609
O 0.403 0.175 0.107
O 0.612 0.078 0.655
O 0.613 0.332 0.412
O 0.618 0.840 0.887
O 0.624 0.575 0.160
O 0.884 0.803 0.490
O 0.887 0.050 0.232
O 0.895 0.563 0.721
O 0.907 0.289 0.979



[3]
The following is a calculated powder XRD pattern of YVO4. It was derived from a structure optimized by DFT (PBE+U), using Cu Kα.
Neutral-atom scattering factors, no anomalous dispersion.

Top 6 peaks for 2θ = 10–90°, low angle first:
24.6°, I = 100
33.2°, I = 61
35.1°, I = 15
49.1°, I = 56
50.5°, I = 16
61.8°, I = 17

Atomic structure:
a b c (Å): 6.022 6.022 6.022
angles (deg): 106.23 106.23 116.16
Element x y z (fractional)
Y 0.375 0.625 0.750
Y 0.625 0.375 0.250
V 0.125 0.875 0.250
V 0.875 0.125 0.750
O 0.134 0.700 0.435
O 0.235 0.300 0.935
O 0.300 0.235 0.435
O 0.300 0.866 0.065
O 0.700 0.134 0.935
O 0.700 0.765 0.565
O 0.765 0.700 0.065
O 0.866 0.300 0.565



[4]
The following is a calculated powder XRD pattern of Li9Mn2Co5O16. It was derived from a structure optimized by DFT (PBE+U), using Cu Kα.
Neutral-atom scattering factors, no anomalous dispersion.

Top 6 peaks for 2θ = 10–90°, low angle first:
18.2°, I = 100
34.5°, I = 15
36.2°, I = 25
41.4°, I = 27
44.1°, I = 53
62.0°, I = 13

Atomic structure:
a b c (Å): 5.112 5.112 20.959
angles (deg): 97.04 97.04 32.84
Element x y z (fractional)
Li 0.000 0.000 0.000
Li 0.000 0.000 0.242
Li 0.006 0.006 0.512
Li 0.023 0.023 0.763
Li 0.498 0.498 0.873
Li 0.505 0.505 0.123
Li 0.512 0.512 0.381
Li 0.518 0.518 0.641
Li 0.759 0.759 0.818
Mn 0.263 0.263 0.445
Mn 0.760 0.760 0.315
Co 0.244 0.244 0.931
Co 0.248 0.248 0.185
Co 0.276 0.276 0.708
Co 0.756 0.756 0.575
Co 0.761 0.761 0.062
O 0.135 0.135 0.855
O 0.139 0.139 0.593
O 0.143 0.143 0.097
O 0.158 0.158 0.355
O 0.364 0.364 0.530
O 0.374 0.374 0.288
O 0.376 0.376 0.039
O 0.385 0.385 0.782
O 0.637 0.637 0.221
O 0.648 0.648 0.469
O 0.649 0.649 0.974
O 0.650 0.650 0.722
O 0.866 0.866 0.915
O 0.867 0.867 0.161
O 0.873 0.873 0.657
O 0.877 0.877 0.418



[5]
The following is a calculated powder XRD pattern of VGeO4. It was derived from a structure optimized by DFT (PBE+U), using Cu Kα.
Neutral-atom scattering factors, no anomalous dispersion.

Top 6 peaks for 2θ = 10–90°, low angle first:
29.0°, I = 100
31.0°, I = 33
36.3°, I = 27
49.9°, I = 19
56.6°, I = 37
57.9°, I = 19

Atomic structure:
a b c (Å): 4.317 11.629 4.727
angles (deg): 90.00 90.00 90.00
Element x y z (fractional)
V 0.000 0.071 0.250
V 0.000 0.929 0.750
V 0.500 0.429 0.750
V 0.500 0.571 0.250
Ge 0.000 0.322 0.250
Ge 0.000 0.678 0.750
Ge 0.500 0.178 0.750
Ge 0.500 0.822 0.250
O 0.230 0.193 0.082
O 0.230 0.807 0.582
O 0.248 0.438 0.077
O 0.248 0.562 0.577
O 0.252 0.062 0.577
O 0.252 0.938 0.077
O 0.270 0.307 0.582
O 0.270 0.693 0.082
O 0.730 0.307 0.918
O 0.730 0.693 0.418
O 0.748 0.062 0.923
O 0.748 0.938 0.423
O 0.752 0.438 0.423
O 0.752 0.562 0.923
O 0.770 0.193 0.418
O 0.770 0.807 0.918



[6]
The following is a calculated powder XRD pattern of Mn4P3O12. It was derived from a structure optimized by DFT (PBE+U), using Cu Kα.
Neutral-atom scattering factors, no anomalous dispersion.

Top 6 peaks for 2θ = 10–90°, low angle first:
12.6°, I = 53
18.9°, I = 61
19.3°, I = 50
29.7°, I = 56
30.8°, I = 100
31.0°, I = 50

Atomic structure:
a b c (Å): 7.754 8.209 9.732
angles (deg): 109.97 112.96 93.60
Element x y z (fractional)
Mn 0.027 0.298 0.457
Mn 0.270 0.421 0.932
Mn 0.280 0.033 0.931
Mn 0.315 0.117 0.305
Mn 0.685 0.883 0.695
Mn 0.720 0.967 0.069
Mn 0.730 0.579 0.068
Mn 0.973 0.702 0.543
P 0.016 0.752 0.934
P 0.295 0.048 0.613
P 0.402 0.643 0.751
P 0.598 0.357 0.249
P 0.705 0.952 0.387
P 0.984 0.248 0.066
O 0.061 0.212 0.229
O 0.078 0.578 0.905
O 0.141 0.244 0.004
O 0.158 0.865 0.521
O 0.186 0.559 0.626
O 0.186 0.918 0.059
O 0.248 0.159 0.504
O 0.270 0.153 0.770
O 0.425 0.837 0.870
O 0.462 0.530 0.856
O 0.470 0.346 0.333
O 0.495 0.964 0.344
O 0.505 0.036 0.656
O 0.530 0.654 0.667
O 0.538 0.470 0.144
O 0.575 0.163 0.130
O 0.730 0.847 0.230
O 0.752 0.841 0.496
O 0.814 0.082 0.941
O 0.814 0.441 0.374
O 0.842 0.135 0.479
O 0.859 0.756 0.996
O 0.922 0.422 0.095
O 0.939 0.788 0.771



[7]
The following is a calculated powder XRD pattern of K2VO2F3. It was derived from a structure optimized by DFT (PBE+U), using Cu Kα.
Neutral-atom scattering factors, no anomalous dispersion.

Top 6 peaks for 2θ = 10–90°, low angle first:
27.8°, I = 100
28.3°, I = 86
31.0°, I = 60
39.3°, I = 46
40.8°, I = 57
42.5°, I = 80

Atomic structure:
a b c (Å): 7.518 5.775 11.571
angles (deg): 90.00 90.00 90.00
Element x y z (fractional)
K 0.027 0.250 0.216
K 0.186 0.750 0.413
K 0.314 0.250 0.913
K 0.473 0.750 0.716
K 0.527 0.250 0.284
K 0.686 0.750 0.087
K 0.814 0.250 0.587
K 0.973 0.750 0.784
V 0.200 0.750 0.070
V 0.300 0.250 0.570
V 0.700 0.750 0.430
V 0.800 0.250 0.930
O 0.178 0.023 0.612
O 0.178 0.477 0.612
O 0.322 0.523 0.112
O 0.322 0.977 0.112
O 0.678 0.023 0.888
O 0.678 0.477 0.888
O 0.822 0.523 0.388
O 0.822 0.977 0.388
F 0.000 0.000 0.000
F 0.000 0.500 0.000
F 0.036 0.750 0.194
F 0.231 0.250 0.409
F 0.269 0.750 0.909
F 0.464 0.250 0.694
F 0.500 0.000 0.500
F 0.500 0.500 0.500
F 0.536 0.750 0.306
F 0.731 0.250 0.091
F 0.769 0.750 0.591
F 0.964 0.250 0.806